Structure and simulated X-ray diffraction stick pattern of CsMo2P3O13 (a DFT-relaxed cell (GGA+U, the Materials Project); Cu Kα).
Lines closer than 0.1° are merged.

Most intense lines, 15° ≤ 2θ ≤ 90°, most intense first:
| d/Å | intensity | hkl |
| --- | --- | --- |
| 4.149 | 100 | 0 2 -1 |
| 3.174 | 94 | 2 1 1 |
| 3.276 | 89 | 0 1 3 |
| 4.858 | 64 | 1 1 -1 |
| 4.092 | 62 | -1 1 1 |
| 3.623 | 55 | 1 2 2 |
| 4.428 | 44 | 1 2 0 |
| 3.198 | 40 | 2 1 0 |
| 2.507 | 33 | 2 0 -2 |
| 3.722 | 28 | 1 0 -2 |

Atomic structure:
Lattice parameters (Å, degrees): 6.456 9.963 10.285 83.11 82.34 71.86
Space group P1 (No. 1)
One atom of each set of equivalent atoms:
Cs 0.000 0.000 0.000 [1 per cell]
Cs 0.012 0.432 0.542 [1 per cell]
Mo 0.360 0.342 0.863 [1 per cell]
Mo 0.367 0.068 0.301 [1 per cell]
Mo 0.656 0.792 0.786 [1 per cell]
Mo 0.660 0.521 0.224 [1 per cell]
P 0.214 0.707 0.720 [1 per cell]
P 0.216 0.426 0.180 [1 per cell]
P 0.502 0.128 0.599 [1 per cell]
P 0.520 0.734 0.488 [1 per cell]
P 0.806 0.435 0.907 [1 per cell]
P 0.808 0.154 0.367 [1 per cell]
O 0.041 0.343 0.860 [1 per cell]
O 0.050 0.065 0.350 [1 per cell]
O 0.240 0.269 0.223 [1 per cell]
O 0.253 0.548 0.747 [1 per cell]
O 0.262 0.452 0.029 [1 per cell]
O 0.281 0.738 0.565 [1 per cell]
O 0.344 0.767 0.800 [1 per cell]
O 0.345 0.148 0.493 [1 per cell]
O 0.368 0.476 0.253 [1 per cell]
O 0.407 0.989 0.158 [1 per cell]
O 0.433 0.259 0.677 [1 per cell]
O 0.459 0.180 0.944 [1 per cell]
O 0.487 0.873 0.405 [1 per cell]
O 0.532 0.989 0.683 [1 per cell]
O 0.563 0.682 0.142 [1 per cell]
O 0.589 0.603 0.410 [1 per cell]
O 0.613 0.873 0.928 [1 per cell]
O 0.655 0.383 0.834 [1 per cell]
O 0.676 0.714 0.594 [1 per cell]
O 0.677 0.095 0.286 [1 per cell]
O 0.740 0.122 0.522 [1 per cell]
O 0.760 0.408 0.058 [1 per cell]
O 0.768 0.313 0.342 [1 per cell]
O 0.783 0.591 0.863 [1 per cell]
O 0.972 0.797 0.737 [1 per cell]
O 0.980 0.515 0.228 [1 per cell]